Starting from a cell relaxed with GGA-PBE, the X-ray diffraction stick pattern of NpMnAlH6 was computed for Cu Kα X-rays.
Kinematic intensities with the Lorentz-polarization factor, no thermal factor.

Atomic structure:
```
data_NpMnAlH6
_cell_length_a 4.3300
_cell_length_b 4.3300
_cell_length_c 4.3524
_cell_angle_alpha 90.00
_cell_angle_beta 90.00
_cell_angle_gamma 120.00
_space_group_name_H-M_alt 'P -6 m 2'
_space_group_IT_number 187
_space_group_name_Hall 'P -6 2'
loop_
_atom_site_label
_atom_site_fract_x
_atom_site_fract_y
_atom_site_fract_z
Np1 0.0000 0.0000 0.0000
Mn1 0.3333 0.6667 0.5000
Al1 0.6667 0.3333 0.5000
H1 0.0275 0.5138 0.2245
```

The 10 most intense peaks (2θ from 10° to 80°), by angle:
2theta  d_spacing  intensity
20.40  4.352  13
23.73  3.750  46
31.49  2.841  100
41.72  2.165  30
46.87  1.938  10
48.36  1.882  16
53.19  1.722  23
60.30  1.535  21
69.47  1.353  11
69.78  1.348  21